Record 1
# Pr5NdSm5
Computed XRD peak list, a wavelength of 1.5418 Å. Input: a structure optimized by DFT (PBE).
Neutral-atom scattering factors, no anomalous dispersion.

Top 8 peaks for 5 to 70 degrees two-theta, in order of rising 2θ:
- 30.87 deg, I 971, (2 0 -1)
- 30.96 deg, I 1000, (2 2 1)
- 31.14 deg, I 810, (0 2 -1)
- 31.30 deg, I 986, (0 2 2)
- 31.44 deg, I 386, (1 1 3)
- 31.65 deg, I 836, (2 0 2)
- 32.28 deg, I 640, (0 0 3)
- 44.18 deg, I 282, (2 -2 0)

Unit cell a=7.080 b=7.092 c=8.733 alpha=75.21 beta=76.11 gamma=70.72
Fractional coordinates of all 11 atoms:
Pr  0.000  0.000  0.000
Pr  0.148  0.645  0.358
Pr  0.360  0.259  0.730
Pr  0.640  0.741  0.270
Pr  0.852  0.355  0.642
Nd  0.000  0.500  0.000
Sm  0.220  0.149  0.287
Sm  0.315  0.800  0.644
Sm  0.500  0.500  0.000
Sm  0.685  0.200  0.356
Sm  0.780  0.851  0.713

=====

Record 2
# NaW3Se
Computed XRD peak list, a wavelength of 1.5418 Å. Input: a structure optimized by DFT (PBE).
Neutral-atom scattering factors, no anomalous dispersion.

Top 8 peaks for 5 to 70 degrees two-theta, in order of rising 2θ:
- 18.97 deg, I 703, (1 0 0)
- 33.17 deg, I 1000, (1 1 1)
- 38.49 deg, I 885, (2 0 0)
- 43.25 deg, I 340, (2 1 0)
- 55.57 deg, I 613, (2 2 0)
- 59.27 deg, I 170, (3 0 0)
- 66.27 deg, I 415, (3 1 1)
- 69.63 deg, I 208, (2 2 2)

Unit cell a=4.677 b=4.677 c=4.677 alpha=90.00 beta=90.00 gamma=90.00
Fractional coordinates of all 5 atoms:
Na  0.000  0.000  0.000
W  0.000  0.500  0.500
W  0.500  0.000  0.500
W  0.500  0.500  0.000
Se  0.500  0.500  0.500

=====

Record 3
# In4Ag3Hg8
Computed XRD peak list, a wavelength of 1.5418 Å. Input: a structure optimized by DFT (PBE).
Neutral-atom scattering factors, no anomalous dispersion.

Top 8 peaks for 5 to 70 degrees two-theta, in order of rising 2θ:
- 28.91 deg, I 147, (1 1 2)
- 34.40 deg, I 1000, (1 1 4)
- 38.35 deg, I 410, (2 0 0)
- 42.94 deg, I 101, (0 0 8)
- 50.69 deg, I 84, (2 0 6)
- 55.35 deg, I 141, (2 2 0)
- 58.92 deg, I 157, (2 0 8)
- 66.82 deg, I 290, (3 1 4)

Unit cell a=4.695 b=4.695 c=16.849 alpha=90.00 beta=90.00 gamma=90.00
Fractional coordinates of all 15 atoms:
In  0.000  0.500  0.108
In  0.000  0.500  0.618
In  0.500  0.000  0.382
In  0.500  0.000  0.892
Ag  0.000  0.000  0.000
Ag  0.000  0.000  0.500
Ag  0.500  0.500  0.500
Hg  0.000  0.000  0.248
Hg  0.000  0.000  0.752
Hg  0.000  0.500  0.388
Hg  0.000  0.500  0.897
Hg  0.500  0.000  0.103
Hg  0.500  0.000  0.612
Hg  0.500  0.500  0.243
Hg  0.500  0.500  0.757

=====

Record 4
# Be2ReRh
Computed XRD peak list, a wavelength of 1.5418 Å. Input: a structure optimized by DFT (PBE).
Neutral-atom scattering factors, no anomalous dispersion.

Top 8 peaks for 5 to 70 degrees two-theta, in order of rising 2θ:
- 15.06 deg, I 855, (0 0 1)
- 30.38 deg, I 127, (0 0 2)
- 36.00 deg, I 1000, (1 0 1)
- 45.09 deg, I 686, (1 0 2)
- 46.29 deg, I 173, (0 0 3)
- 46.63 deg, I 374, (1 1 0)
- 49.28 deg, I 180, (1 1 1)
- 67.81 deg, I 220, (1 1 3)

Unit cell a=2.755 b=2.755 c=5.884 alpha=90.00 beta=90.00 gamma=90.00
Fractional coordinates of all 4 atoms:
Be  0.000  0.000  0.000
Be  0.500  0.500  0.181
Re  0.000  0.000  0.445
Rh  0.500  0.500  0.765

=====

Copy entry 3 word for word.
# In4Ag3Hg8
Computed XRD peak list, a wavelength of 1.5418 Å. Input: a structure optimized by DFT (PBE).
Neutral-atom scattering factors, no anomalous dispersion.

Top 8 peaks for 5 to 70 degrees two-theta, in order of rising 2θ:
- 28.91 deg, I 147, (1 1 2)
- 34.40 deg, I 1000, (1 1 4)
- 38.35 deg, I 410, (2 0 0)
- 42.94 deg, I 101, (0 0 8)
- 50.69 deg, I 84, (2 0 6)
- 55.35 deg, I 141, (2 2 0)
- 58.92 deg, I 157, (2 0 8)
- 66.82 deg, I 290, (3 1 4)

Unit cell a=4.695 b=4.695 c=16.849 alpha=90.00 beta=90.00 gamma=90.00
Fractional coordinates of all 15 atoms:
In  0.000  0.500  0.108
In  0.000  0.500  0.618
In  0.500  0.000  0.382
In  0.500  0.000  0.892
Ag  0.000  0.000  0.000
Ag  0.000  0.000  0.500
Ag  0.500  0.500  0.500
Hg  0.000  0.000  0.248
Hg  0.000  0.000  0.752
Hg  0.000  0.500  0.388
Hg  0.000  0.500  0.897
Hg  0.500  0.000  0.103
Hg  0.500  0.000  0.612
Hg  0.500  0.500  0.243
Hg  0.500  0.500  0.757